This entry pairs a crystal structure of Li2MnF6 with its simulated powder XRD pattern. Radiation: λ = 1.5418 Å (Cu Kα). Structure: a PBE+U-relaxed structure.
Peak positions follow from Bragg's law for the DFT cell and can differ from measured ones.

Structure:
Cell lengths 6.555, 6.555, 8.466 Å; angles 91.15, 91.15, 134.29 degrees
Fractional positions:
Li: 0.060 0.757 0.525
Li: 0.243 0.940 0.975
Li: 0.757 0.060 0.025
Li: 0.940 0.243 0.475
Mn: 0.353 0.647 0.250
Mn: 0.647 0.353 0.750
F: 0.046 0.560 0.346
F: 0.121 0.414 0.077
F: 0.246 0.342 0.350
F: 0.342 0.246 0.850
F: 0.414 0.121 0.577
F: 0.440 0.954 0.154
F: 0.560 0.046 0.846
F: 0.586 0.879 0.423
F: 0.658 0.754 0.150
F: 0.754 0.658 0.650
F: 0.879 0.586 0.923
F: 0.954 0.440 0.654

Largest 12 diffraction maxima, by angle, 2θ = 15–90°:
| 2θ/deg | d_spacing | I_rel |
| --- | --- | --- |
| 18.05 | 4.915 | 100 |
| 18.93 | 4.687 | 19 |
| 21.02 | 4.227 | 11 |
| 21.23 | 4.185 | 24 |
| 22.12 | 4.019 | 31 |
| 29.11 | 3.068 | 11 |
| 34.92 | 2.569 | 27 |
| 38.03 | 2.366 | 13 |
| 42.55 | 2.125 | 14 |
| 50.89 | 1.794 | 9 |
| 51.92 | 1.761 | 8 |
| 52.46 | 1.744 | 11 |